No. 1
ZrSi2Ni2: calculated XRD peak list (CuKα), based on a structure optimized by DFT (GGA-PBE).

Cell and atoms:
Cell lengths 5.5609, 5.5609, 5.5609 Å; angles 140.49, 140.49, 57.10 degrees
Fractional positions:
Zr  0.0000  0.0000  0.0000
Si  0.3807  0.3807  0.0000
Si  0.6193  0.6193  0.0000
Ni  0.2500  0.7500  0.5000
Ni  0.7500  0.2500  0.5000

Most intense lines, 2θ = 15–90°, sorted by position:
2θ = 36.5°, 2.461 Å, I = 37.4; 2θ = 36.8°, 2.442 Å, I = 15.4; 2θ = 38.6°, 2.335 Å, I = 100.0; 2θ = 48.4°, 1.879 Å, I = 38.3; 2θ = 67.5°, 1.388 Å, I = 15.2; 2θ = 83.7°, 1.155 Å, I = 18.8

No. 2
SbP4O12: calculated XRD peak list (CuKα), based on a structure optimized by DFT (GGA-PBE).

Cell and atoms:
Cell lengths 8.7206, 8.7206, 9.2833 Å; angles 121.06, 121.06, 48.43 degrees
Fractional positions:
Sb  0.2034  0.7966  0.7500
Sb  0.7966  0.2034  0.2500
P  0.0114  0.2731  0.6868
P  0.2731  0.0114  0.1868
P  0.3354  0.3908  0.8756
P  0.3908  0.3354  0.3756
P  0.6092  0.6646  0.6244
P  0.6646  0.6092  0.1244
P  0.7269  0.9886  0.8132
P  0.9886  0.7269  0.3132
O  0.0135  0.1092  0.7025
O  0.0136  0.2451  0.5117
O  0.1092  0.0135  0.2025
O  0.1840  0.5760  0.7955
O  0.1949  0.5004  0.2587
O  0.1999  0.3014  0.8370
O  0.2451  0.0136  0.0117
O  0.3014  0.1999  0.3370
O  0.4235  0.4460  0.5666
O  0.4240  0.8160  0.7045
O  0.4460  0.4235  0.0666
O  0.5004  0.1948  0.7587
O  0.4996  0.8052  0.2413
O  0.5540  0.5765  0.9334
O  0.5760  0.1840  0.2955
O  0.5765  0.5540  0.4334
O  0.6986  0.8001  0.6630
O  0.7549  0.9864  0.9883
O  0.8001  0.6986  0.1630
O  0.8052  0.4996  0.7413
O  0.8160  0.4240  0.2045
O  0.8908  0.9865  0.7975
O  0.9864  0.7549  0.4883
O  0.9865  0.8908  0.2975

Most intense lines, 2θ = 15–90°, sorted by position:
2θ = 15.6°, 5.666 Å, I = 70.3; 2θ = 20.9°, 4.260 Å, I = 100.0; 2θ = 23.2°, 3.828 Å, I = 58.3; 2θ = 23.7°, 3.751 Å, I = 43.1; 2θ = 27.6°, 3.229 Å, I = 36.2; 2θ = 31.5°, 2.836 Å, I = 45.2

No. 3
SrCaTi2O6: calculated XRD peak list (CuKα), based on a structure optimized by DFT (GGA-PBE).

Cell and atoms:
Cell lengths 7.8139, 5.5247, 5.5290 Å; angles 90.00, 90.00, 90.00 degrees
Fractional positions:
Sr  0.0000  0.2456  0.0000
Sr  0.0000  0.7544  0.5000
Ca  0.5000  0.2516  0.0321
Ca  0.5000  0.7484  0.5321
Ti  0.2549  0.2486  0.5134
Ti  0.2549  0.7514  0.0134
Ti  0.7451  0.2486  0.5134
Ti  0.7451  0.7514  0.0134
O  0.0000  0.2932  0.5180
O  0.0000  0.7068  0.0180
O  0.2299  0.0235  0.2416
O  0.2299  0.9765  0.7416
O  0.2858  0.4748  0.7911
O  0.2858  0.5252  0.2911
O  0.5000  0.1860  0.5048
O  0.5000  0.8140  0.0048
O  0.7142  0.4748  0.7911
O  0.7142  0.5252  0.2911
O  0.7701  0.0235  0.2416
O  0.7701  0.9765  0.7416

Most intense lines, 2θ = 15–90°, sorted by position:
2θ = 32.4°, 2.763 Å, I = 100.0; 2θ = 40.0°, 2.256 Å, I = 14.9; 2θ = 46.5°, 1.954 Å, I = 43.2; 2θ = 57.8°, 1.595 Å, I = 40.3; 2θ = 67.8°, 1.382 Å, I = 22.1; 2θ = 77.2°, 1.236 Å, I = 14.9

No. 4
MgOs3: calculated XRD peak list (CuKα), based on a structure optimized by DFT (GGA-PBE).

Cell and atoms:
Cell lengths 5.5380, 5.5380, 4.4250 Å; angles 90.00, 90.00, 120.00 degrees
Fractional positions:
Mg  0.3333  0.6667  0.2500
Mg  0.6667  0.3333  0.7500
Os  0.1700  0.3399  0.7500
Os  0.1700  0.8300  0.7500
Os  0.3399  0.1700  0.2500
Os  0.6601  0.8300  0.7500
Os  0.8300  0.1700  0.2500
Os  0.8300  0.6601  0.2500

Most intense lines, 2θ = 15–90°, sorted by position:
2θ = 27.4°, 3.252 Å, I = 27.5; 2θ = 37.5°, 2.398 Å, I = 24.2; 2θ = 40.8°, 2.212 Å, I = 25.7; 2θ = 42.9°, 2.108 Å, I = 100.0; 2θ = 75.7°, 1.256 Å, I = 19.1; 2θ = 82.1°, 1.174 Å, I = 20.6

No. 5
Lu2Ga3Ni14: calculated XRD peak list (CuKα), based on a structure optimized by DFT (GGA-PBE).

Cell and atoms:
Cell lengths 8.2993, 8.2993, 8.1146 Å; angles 90.00, 90.00, 120.00 degrees
Fractional positions:
Lu  0.0000  0.0000  0.2500
Lu  0.0000  0.0000  0.7500
Lu  0.3333  0.6667  0.2500
Lu  0.6667  0.3333  0.7500
Ga  0.0000  0.5000  0.0000
Ga  0.0000  0.5000  0.5000
Ga  0.5000  0.0000  0.0000
Ga  0.5000  0.0000  0.5000
Ga  0.5000  0.5000  0.0000
Ga  0.5000  0.5000  0.5000
Ni  0.0340  0.3587  0.7500
Ni  0.0340  0.6754  0.7500
Ni  0.1652  0.3305  0.0197
Ni  0.1652  0.3305  0.4803
Ni  0.1652  0.8348  0.0197
Ni  0.1652  0.8348  0.4803
Ni  0.3246  0.3587  0.7500
Ni  0.3246  0.9660  0.7500
Ni  0.3305  0.1652  0.5197
Ni  0.3305  0.1652  0.9803
Ni  0.3333  0.6667  0.6035
Ni  0.3333  0.6667  0.8965
Ni  0.3587  0.0340  0.2500
Ni  0.3587  0.3246  0.2500
Ni  0.6414  0.6754  0.7500
Ni  0.6414  0.9660  0.7500
Ni  0.6667  0.3333  0.1035
Ni  0.6667  0.3333  0.3965
Ni  0.6695  0.8348  0.0197
Ni  0.6695  0.8348  0.4803
Ni  0.6754  0.0340  0.2500
Ni  0.6754  0.6414  0.2500
Ni  0.8348  0.1652  0.5197
Ni  0.8348  0.1652  0.9803
Ni  0.8348  0.6695  0.5197
Ni  0.8348  0.6695  0.9803
Ni  0.9660  0.3246  0.2500
Ni  0.9660  0.6414  0.2500

Most intense lines, 2θ = 15–90°, sorted by position:
2θ = 30.8°, 2.901 Å, I = 37.2; 2θ = 37.5°, 2.396 Å, I = 40.9; 2θ = 41.8°, 2.161 Å, I = 32.1; 2θ = 43.6°, 2.075 Å, I = 57.7; 2θ = 43.9°, 2.063 Å, I = 100.0; 2θ = 44.7°, 2.029 Å, I = 30.2

No. 6
NaSbO3: calculated XRD peak list (CuKα), based on a structure optimized by DFT (GGA-PBE).

Cell and atoms:
Cell lengths 5.4271, 5.4889, 8.6215 Å; angles 90.00, 90.00, 90.00 degrees
Fractional positions:
Na  0.2500  0.0000  0.1834
Na  0.2500  0.5000  0.3166
Na  0.7500  0.0000  0.8166
Na  0.7500  0.5000  0.6834
Sb  0.2500  0.0000  0.5958
Sb  0.2500  0.5000  0.9042
Sb  0.7500  0.0000  0.4042
Sb  0.7500  0.5000  0.0958
O  0.0678  0.1828  0.4218
O  0.0678  0.3172  0.0782
O  0.1174  0.2500  0.7500
O  0.3826  0.7500  0.7500
O  0.4322  0.6828  0.0782
O  0.4322  0.8172  0.4218
O  0.5678  0.1828  0.5782
O  0.5678  0.3172  0.9218
O  0.6175  0.2500  0.2500
O  0.8826  0.7500  0.2500
O  0.9322  0.6828  0.9218
O  0.9322  0.8172  0.5782

Most intense lines, 2θ = 15–90°, sorted by position:
2θ = 19.2°, 4.630 Å, I = 100.0; 2θ = 19.3°, 4.593 Å, I = 24.0; 2θ = 31.1°, 2.875 Å, I = 90.5; 2θ = 38.5°, 2.341 Å, I = 21.4; 2θ = 47.1°, 1.930 Å, I = 22.5; 2θ = 48.9°, 1.864 Å, I = 32.4